[1]
Theoretical powder XRD pattern of CrCuAsPb2O9 for copper Kα, from a crystal structure in the Materials Project, relaxed with GGA+U.
Peak positions follow from Bragg's law for the DFT cell and can differ from measured ones.

Top 6 peaks for 10° ≤ 2θ ≤ 90°, low angle first:
(hkl), 2theta, Rel. int.
0 1 2, 18.48, 39
1 1 2, 23.46, 31
2 1 -2, 26.01, 100
2 1 -4, 29.66, 34
1 1 4, 31.76, 33
2 1 2, 31.91, 39

Structural model:
```
data_CrCuAsPb2O9
_space_group_name_H-M_alt 'P 1 21/c 1'
_space_group_IT_number 14
_space_group_name_Hall '-P 2ybc'
_cell_length_a 8.485
_cell_length_b 5.967
_cell_length_c 17.169
_cell_angle_alpha 90.00
_cell_angle_beta 109.72
_cell_angle_gamma 90.00
loop_
_atom_site_label
_atom_site_type_symbol
_atom_site_fract_x
_atom_site_fract_y
_atom_site_fract_z
_atom_site_occupancy
Cr1 Cr 0.049 0.243 0.157 1
Cu1 Cu 0.485 0.508 0.749 1
As1 As 0.491 0.243 0.084 1
Pb1 Pb 0.201 0.212 0.871 1
Pb2 Pb 0.224 0.721 0.066 1
O1 O 0.008 0.519 0.900 1
O2 O 0.010 0.014 0.094 1
O3 O 0.058 0.714 0.280 1
O4 O 0.249 0.245 0.714 1
O5 O 0.296 0.195 0.515 1
O6 O 0.356 0.679 0.455 1
O7 O 0.367 0.729 0.220 1
O8 O 0.469 0.510 0.856 1
O9 O 0.478 0.501 0.639 1
```

[2]
Theoretical powder XRD pattern of K2Cr2AsO10 for copper Kα, from a crystal structure in the Materials Project, relaxed with GGA+U.
Peak positions follow from Bragg's law for the DFT cell and can differ from measured ones.

Top 6 peaks for 10° ≤ 2θ ≤ 90°, low angle first:
(hkl), 2theta, Rel. int.
1 0 2, 17.57, 60
0 1 3, 22.09, 53
1 1 0, 22.42, 53
2 0 0, 25.95, 96
0 1 4, 27.24, 100
2 1 4, 42.45, 60

Structural model:
```
data_K2Cr2AsO10
_space_group_name_H-M_alt 'P 31'
_space_group_IT_number 144
_space_group_name_Hall 'P 31'
_cell_length_a 7.9302
_cell_length_b 7.9302
_cell_length_c 14.8971
_cell_angle_alpha 90.00
_cell_angle_beta 90.00
_cell_angle_gamma 120.00
loop_
_atom_site_label
_atom_site_type_symbol
_atom_site_fract_x
_atom_site_fract_y
_atom_site_fract_z
_atom_site_occupancy
K1 K 0.0020 0.6107 0.0000 1
K2 K 0.4555 0.4493 0.8262 1
Cr1 Cr 0.0063 0.5827 0.7524 1
Cr2 Cr 0.4185 0.4118 0.5776 1
As1 As 0.0201 0.1261 0.9820 1
O1 O 0.0664 0.0487 0.3797 1
O2 O 0.0892 0.4981 0.3157 1
O3 O 0.1069 0.0982 0.8822 1
O4 O 0.1451 0.5273 0.8109 1
O5 O 0.1619 0.7652 0.1898 1
O6 O 0.1703 0.8158 0.6952 1
O7 O 0.3410 0.1842 0.6423 1
O8 O 0.3912 0.2506 0.1525 1
O9 O 0.5349 0.1164 0.3432 1
O10 O 0.5611 0.1469 0.8398 1
```